(1)
Diffraction record for FeAgI2. The X-ray diffraction stick pattern is theoretical, not measured: it uses a crystal structure in Alexandria, relaxed with GGA-PBE and Cu Kα X-rays.
Peak positions follow from Bragg's law for the DFT cell and can differ from measured ones.

Main lines, by angle (5° ≤ 2θ ≤ 70°):
| Position (°2θ) | Rel. int. |
| --- | --- |
| 24.25 | 100 |
| 32.07 | 7 |
| 39.83 | 24 |
| 40.27 | 49 |
| 47.18 | 29 |
| 47.95 | 15 |
| 57.59 | 7 |
| 64.03 | 13 |

Crystal structure
abc: 7.732 7.732 7.732
angles: 131.09 131.09 71.67
Fractional coordinates of all 8 atoms:
Fe (0.000, 0.000, 0.000)
Fe (0.750, 0.250, 0.500)
Ag (0.250, 0.750, 0.500)
Ag (0.500, 0.500, 0.000)
I (0.094, 0.625, 0.969)
I (0.375, 0.344, 0.469)
I (0.656, 0.125, 0.031)
I (0.875, 0.906, 0.531)

***

(2)
Diffraction record for KFeAgI4. The X-ray diffraction stick pattern is theoretical, not measured: it uses a crystal structure in Alexandria, relaxed with GGA-PBE and Cu Kα X-rays.
Peak positions follow from Bragg's law for the DFT cell and can differ from measured ones.

Main lines, by angle (5° ≤ 2θ ≤ 70°):
| Position (°2θ) | Rel. int. |
| --- | --- |
| 13.96 | 52 |
| 22.70 | 100 |
| 27.23 | 20 |
| 33.13 | 21 |
| 35.35 | 21 |
| 39.51 | 33 |
| 40.54 | 21 |
| 43.39 | 22 |

Crystal structure
abc: 7.845 7.845 7.845
angles: 121.65 121.65 87.16
Fractional coordinates of all 7 atoms:
K (0.000, 0.000, 0.000)
Fe (0.250, 0.750, 0.500)
Ag (0.500, 0.500, 0.000)
I (0.182, 0.614, 0.076)
I (0.386, 0.462, 0.568)
I (0.538, 0.106, 0.924)
I (0.894, 0.818, 0.432)

***

(3)
Diffraction record for RbFeAgI4. The X-ray diffraction stick pattern is theoretical, not measured: it uses a crystal structure in Alexandria, relaxed with GGA-PBE and Cu Kα X-rays.
Peak positions follow from Bragg's law for the DFT cell and can differ from measured ones.

Main lines, by angle (5° ≤ 2θ ≤ 70°):
| Position (°2θ) | Rel. int. |
| --- | --- |
| 9.00 | 44 |
| 25.27 | 43 |
| 25.40 | 54 |
| 25.58 | 36 |
| 26.15 | 48 |
| 26.91 | 36 |
| 28.05 | 100 |
| 43.35 | 39 |

Crystal structure
abc: 6.831 8.349 10.212
angles: 90.00 105.73 90.00
Fractional coordinates of all 14 atoms:
Rb (0.242, 0.250, 0.414)
Rb (0.758, 0.750, 0.586)
Fe (0.316, 0.750, 0.193)
Fe (0.684, 0.250, 0.807)
Ag (0.372, 0.250, 0.988)
Ag (0.628, 0.750, 0.012)
I (0.021, 0.750, 0.969)
I (0.185, 0.750, 0.412)
I (0.437, 0.003, 0.790)
I (0.437, 0.497, 0.790)
I (0.563, 0.503, 0.210)
I (0.563, 0.997, 0.210)
I (0.815, 0.250, 0.588)
I (0.979, 0.250, 0.031)

***

(4)
Diffraction record for Fe2AgRuI. The X-ray diffraction stick pattern is theoretical, not measured: it uses a crystal structure in Alexandria, relaxed with GGA-PBE and Cu Kα X-rays.
Peak positions follow from Bragg's law for the DFT cell and can differ from measured ones.

Main lines, by angle (5° ≤ 2θ ≤ 70°):
| Position (°2θ) | Rel. int. |
| --- | --- |
| 19.03 | 40 |
| 26.49 | 47 |
| 27.04 | 61 |
| 32.82 | 66 |
| 37.00 | 56 |
| 38.62 | 100 |
| 54.55 | 70 |
| 68.82 | 34 |

Crystal structure
abc: 4.663 4.663 4.859
angles: 90.00 90.00 90.00
Fractional coordinates of all 5 atoms:
Fe (0.000, 0.500, 0.000)
Fe (0.500, 0.000, 0.000)
Ag (0.000, 0.000, 0.500)
Ru (0.500, 0.500, 0.500)
I (0.500, 0.500, 0.000)

***

(5)
Diffraction record for TlFeAgI4. The X-ray diffraction stick pattern is theoretical, not measured: it uses a crystal structure in Alexandria, relaxed with GGA-PBE and Cu Kα X-rays.
Peak positions follow from Bragg's law for the DFT cell and can differ from measured ones.

Main lines, by angle (5° ≤ 2θ ≤ 70°):
| Position (°2θ) | Rel. int. |
| --- | --- |
| 14.04 | 19 |
| 16.68 | 18 |
| 22.68 | 100 |
| 27.63 | 21 |
| 28.29 | 20 |
| 33.74 | 26 |
| 39.20 | 40 |
| 41.04 | 28 |

Crystal structure
abc: 7.873 7.873 7.873
angles: 122.99 122.99 84.90
Fractional coordinates of all 7 atoms:
Tl (0.000, 0.000, 0.000)
Fe (0.250, 0.750, 0.500)
Ag (0.500, 0.500, 0.000)
I (0.177, 0.613, 0.071)
I (0.387, 0.458, 0.564)
I (0.542, 0.106, 0.929)
I (0.894, 0.823, 0.436)

***

(6)
Diffraction record for KFeAg. The X-ray diffraction stick pattern is theoretical, not measured: it uses a crystal structure in Alexandria, relaxed with GGA-PBE and Cu Kα X-rays.
Peak positions follow from Bragg's law for the DFT cell and can differ from measured ones.

Main lines, by angle (5° ≤ 2θ ≤ 70°):
| Position (°2θ) | Rel. int. |
| --- | --- |
| 14.83 | 100 |
| 29.92 | 40 |
| 30.38 | 43 |
| 37.74 | 60 |
| 40.76 | 33 |
| 41.36 | 23 |
| 48.89 | 38 |
| 58.06 | 26 |

Crystal structure
abc: 6.516 6.516 6.516
angles: 154.78 140.85 47.14
Fractional coordinates of all 3 atoms:
K (0.000, 0.000, 0.000)
Fe (0.274, 0.274, 0.000)
Ag (0.721, 0.721, 0.000)

***

Which formula does entry 3 have? RbFeAgI4

***

Which formula does entry 4 have? Fe2AgRuI